Diffraction record for CoNiP2S6. The powder X-ray diffraction pattern is theoretical, not measured: it uses a PBE-relaxed structure and Cu Kα.

Peak list (8 most intense, 10° ≤ 2θ ≤ 90°, in order of rising 2θ)
2θ = 13.79°, I 100, hkl 0 0 1
2θ = 31.20°, I 36, hkl 1 3 0
2θ = 36.16°, I 81, hkl 2 0 -2
2θ = 49.17°, I 22, hkl 2 0 2
2θ = 54.85°, I 29, hkl 0 6 0
2θ = 56.85°, I 12, hkl 3 3 -2
2θ = 67.48°, I 11, hkl 2 6 -2
2θ = 83.42°, I 9, hkl 3 3 3

Structural model:
abc: 5.798 10.042 6.707
angles: 90.00 106.74 90.00
Space group C2 (No. 5)
One atom of each set of equivalent atoms:
Co (0.000, 0.000, 0.000) x2
Ni (0.000, 0.666, 0.000) x2
P (0.057, 0.333, 0.170) x4
S (0.226, 0.840, 0.228) x4
S (0.238, 0.005, 0.772) x4
S (0.242, 0.155, 0.228) x4